Structure and computed powder diffractogram of BaMn4O7 (a structure optimized by DFT (GGA+U); Cu Kα (λ = 1.5418 Å)).

Most intense lines, 2θ from 10° to 90°, most intense first:
| d_spacing | two_theta | I (rel.) | h k l |
| --- | --- | --- | --- |
| 5.047 | 17.57 | 100.0 | 1 0 1 |
| 2.814 | 31.80 | 88.6 | 1 1 2 |
| 2.757 | 32.48 | 88.3 | 2 0 1 |
| 3.055 | 29.23 | 35.7 | 1 0 3 |
| 2.714 | 33.00 | 35.2 | 0 0 4 |
| 1.646 | 55.87 | 29.9 | 2 2 0 |
| 1.727 | 53.02 | 25.5 | 2 0 5 |
| 1.793 | 50.92 | 23.0 | 3 0 2 |
| 1.407 | 66.44 | 22.9 | 2 2 4 |
| 3.291 | 27.09 | 18.3 | 1 1 0 |

Atomic structure:
```
data_BaMn4O7
_symmetry_space_group_name_H-M 'P 63 m c'
_symmetry_Int_Tables_number 186
_symmetry_space_group_name_Hall 'P 6c -2c'
_cell_length_a 6.5823
_cell_length_b 6.5823
_cell_length_c 10.8579
_cell_angle_alpha 90.00
_cell_angle_beta 90.00
_cell_angle_gamma 120.00
loop_
_atom_site_label
_atom_site_fract_x
_atom_site_fract_y
_atom_site_fract_z
Ba1 0.3333 0.6667 0.0000
Mn1 0.0000 0.0000 0.4818
Mn2 0.1696 0.3391 0.7257
O1 0.0000 0.0000 0.2956
O2 0.0470 0.5235 0.7913
O3 0.1464 0.2927 0.5480
```